Record 1
This entry pairs a crystal structure of Ba2Li5Cd4 with its simulated X-ray diffraction stick pattern. Radiation: Cu Ka. Structure: a crystal structure in Alexandria, relaxed with GGA-PBE.
Lines closer than 0.1° are merged.

Structure:
Unit cell a=7.846 b=7.846 c=9.202 alpha=123.58 beta=123.58 gamma=45.49
Fractional positions:
Ba  0.217  0.217  0.276
Ba  0.783  0.783  0.724
Li  0.207  0.700  0.251
Li  0.300  0.793  0.749
Li  0.500  0.500  0.000
Li  0.700  0.207  0.251
Li  0.793  0.300  0.749
Cd  0.119  0.119  0.554
Cd  0.277  0.277  0.949
Cd  0.723  0.723  0.051
Cd  0.881  0.881  0.446

Main lines, sorted by position (10° ≤ 2θ ≤ 80°):
d/Å  2θ (°)  I (rel.)
5.790  15.30  100
3.859  23.04  52
3.457  25.77  60
3.033  29.45  61
2.687  33.35  36
2.611  34.35  83
2.541  35.33  33
2.512  35.74  58



Record 2
This entry pairs a crystal structure of LiLuPuOs with its simulated X-ray diffraction stick pattern. Radiation: Cu Ka. Structure: a crystal structure in Alexandria, relaxed with GGA-PBE.
Lines closer than 0.1° are merged.

Structure:
Unit cell a=6.826 b=6.826 c=6.826 alpha=90.00 beta=90.00 gamma=90.00
Fractional positions:
Li  0.000  0.000  0.000
Li  0.000  0.500  0.500
Li  0.500  0.000  0.500
Li  0.500  0.500  0.000
Lu  0.250  0.250  0.750
Lu  0.250  0.750  0.250
Lu  0.750  0.250  0.250
Lu  0.750  0.750  0.750
Pu  0.250  0.250  0.250
Pu  0.250  0.750  0.750
Pu  0.750  0.250  0.750
Pu  0.750  0.750  0.250
Os  0.000  0.000  0.500
Os  0.000  0.500  0.000
Os  0.500  0.000  0.000
Os  0.500  0.500  0.500

Main lines, sorted by position (10° ≤ 2θ ≤ 80°):
d/Å  2θ (°)  I (rel.)
3.941  22.56  24
3.413  26.11  16
2.413  37.26  100
2.058  44.00  13
1.706  53.72  18
1.526  60.68  7
1.393  67.19  37
1.207  79.42  12



Record 3
This entry pairs a crystal structure of TbMg5Cd4 with its simulated X-ray diffraction stick pattern. Radiation: Cu Ka. Structure: a crystal structure in Alexandria, relaxed with GGA-PBE.
Lines closer than 0.1° are merged.

Structure:
Unit cell a=7.650 b=7.650 c=6.592 alpha=103.47 beta=103.47 gamma=37.67
Fractional positions:
Tb  0.000  0.000  0.000
Mg  0.000  0.000  0.500
Mg  0.212  0.212  0.841
Mg  0.398  0.398  0.665
Mg  0.602  0.602  0.335
Mg  0.788  0.788  0.159
Cd  0.208  0.208  0.342
Cd  0.401  0.401  0.182
Cd  0.599  0.599  0.818
Cd  0.792  0.792  0.658

Main lines, sorted by position (10° ≤ 2θ ≤ 80°):
d/Å  2θ (°)  I (rel.)
4.234  20.98  39
3.920  22.68  53
3.250  27.45  31
2.670  33.56  38
2.567  34.95  78
2.540  35.34  36
2.470  36.38  53
2.441  36.83  100



Record 4
This entry pairs a crystal structure of NaGe2IO8 with its simulated X-ray diffraction stick pattern. Radiation: Cu Ka. Structure: a crystal structure in Alexandria, relaxed with GGA-PBE.
Lines closer than 0.1° are merged.

Structure:
Unit cell a=4.794 b=4.794 c=6.700 alpha=100.46 beta=100.46 gamma=76.88
Fractional positions:
Na  0.000  0.000  0.000
Ge  0.447  0.447  0.788
Ge  0.553  0.553  0.212
I  0.000  0.000  0.500
O  0.195  0.759  0.283
O  0.241  0.805  0.717
O  0.258  0.258  0.544
O  0.334  0.334  0.998
O  0.666  0.666  0.002
O  0.742  0.742  0.456
O  0.759  0.195  0.283
O  0.805  0.241  0.717

Main lines, sorted by position (10° ≤ 2θ ≤ 80°):
d/Å  2θ (°)  I (rel.)
6.517  13.59  20
4.059  21.89  100
3.653  24.37  68
2.981  29.98  46
2.868  31.19  52
2.496  35.98  38
2.287  39.39  24
1.692  54.22  18